# 1
The following is a theoretical powder X-ray diffraction pattern of AcMn4Ga8. It was derived from a DFT-relaxed cell (GGA-PBE, Alexandria), using Cu Kα.
Kinematic intensities with the Lorentz-polarization factor, no thermal factor.

Main lines, low angle first (10° ≤ 2θ ≤ 90°):
- 19.6°, d = 4.531 Å, I 10.4
- 27.9°, d = 3.202 Å, I 22.4
- 31.2°, d = 2.862 Å, I 12.1
- 34.3°, d = 2.615 Å, I 34.8
- 39.8°, d = 2.264 Å, I 100.0
- 44.7°, d = 2.026 Å, I 14.2
- 57.6°, d = 1.601 Å, I 15.1
- 65.1°, d = 1.432 Å, I 18.5
- 72.3°, d = 1.307 Å, I 22.5
- 85.9°, d = 1.132 Å, I 11.4

Atomic structure:
```
AcMn4Ga8
1.0
-4.526 4.526 2.618
4.526 -4.526 2.618
4.526 4.526 -2.618
Ac Mn Ga
1 4 8
direct
0.000 0.000 0.000
0.000 0.000 0.500
0.000 0.500 0.000
0.500 0.000 0.000
0.500 0.500 0.500
0.000 0.343 0.343
0.000 0.657 0.657
0.263 0.500 0.763
0.343 0.000 0.343
0.500 0.263 0.763
0.500 0.737 0.237
0.657 0.000 0.657
0.737 0.500 0.237
```

# 2
The following is a theoretical powder X-ray diffraction pattern of H3PdPt. It was derived from a DFT-relaxed cell (GGA-PBE, Alexandria), using Cu Kα.
Kinematic intensities with the Lorentz-polarization factor, no thermal factor.

Main lines, low angle first (10° ≤ 2θ ≤ 90°):
- 34.5°, d = 2.601 Å, I 57.5
- 35.8°, d = 2.506 Å, I 54.2
- 37.0°, d = 2.431 Å, I 100.0
- 37.9°, d = 2.373 Å, I 89.9
- 50.6°, d = 1.805 Å, I 39.6
- 62.8°, d = 1.480 Å, I 20.4
- 64.7°, d = 1.441 Å, I 16.9
- 65.1°, d = 1.432 Å, I 19.2
- 65.8°, d = 1.420 Å, I 18.1
- 69.4°, d = 1.354 Å, I 15.5

Atomic structure:
```
H3PdPt
1.0
6.217 0.000 0.000
0.000 5.012 0.000
-2.693 0.000 5.389
H Pd Pt
12 4 4
direct
0.080 0.124 0.204
0.080 0.376 0.704
0.314 0.601 0.461
0.314 0.899 0.961
0.346 0.069 0.623
0.346 0.431 0.123
0.654 0.569 0.877
0.654 0.931 0.377
0.686 0.101 0.039
0.686 0.399 0.539
0.920 0.624 0.296
0.920 0.876 0.796
0.123 0.745 0.640
0.123 0.755 0.140
0.877 0.245 0.860
0.877 0.255 0.360
0.373 0.246 0.890
0.373 0.254 0.390
0.627 0.746 0.610
0.627 0.754 0.110
```

# 3
The following is a theoretical powder X-ray diffraction pattern of Ba2PuO6. It was derived from a DFT-relaxed cell (GGA-PBE, Alexandria), using Cu Kα.
Kinematic intensities with the Lorentz-polarization factor, no thermal factor.

Main lines, low angle first (10° ≤ 2θ ≤ 90°):
- 15.2°, d = 5.836 Å, I 14.7
- 25.1°, d = 3.548 Å, I 100.0
- 27.6°, d = 3.227 Å, I 82.4
- 30.4°, d = 2.942 Å, I 42.8
- 31.0°, d = 2.888 Å, I 20.5
- 40.1°, d = 2.248 Å, I 21.2
- 43.9°, d = 2.061 Å, I 60.7
- 49.4°, d = 1.844 Å, I 33.5
- 51.6°, d = 1.770 Å, I 14.6
- 53.7°, d = 1.706 Å, I 24.0

Atomic structure:
```
Ba2PuO6
1.0
-2.248 2.888 5.836
2.248 -2.888 5.836
2.248 2.888 -5.836
Ba Pu O
2 1 6
direct
0.161 0.161 0.000
0.839 0.839 0.000
0.500 0.500 0.000
0.147 0.372 0.775
0.325 0.000 0.325
0.403 0.628 0.775
0.597 0.372 0.225
0.675 0.000 0.675
0.853 0.628 0.225
```

# 4
The following is a theoretical powder X-ray diffraction pattern of Ba5TlIn. It was derived from a DFT-relaxed cell (GGA-PBE, Alexandria), using Cu Kα.
Kinematic intensities with the Lorentz-polarization factor, no thermal factor.

Main lines, low angle first (10° ≤ 2θ ≤ 90°):
- 22.1°, d = 4.030 Å, I 79.5
- 23.2°, d = 3.838 Å, I 42.5
- 24.2°, d = 3.684 Å, I 73.7
- 24.7°, d = 3.602 Å, I 75.2
- 27.2°, d = 3.282 Å, I 100.0
- 29.5°, d = 3.033 Å, I 66.4
- 29.6°, d = 3.018 Å, I 43.7
- 30.1°, d = 2.965 Å, I 93.1
- 30.3°, d = 2.945 Å, I 60.2
- 34.0°, d = 2.636 Å, I 46.0

Atomic structure:
```
Ba5TlIn
1.0
5.444 -5.414 0.000
5.444 5.414 0.000
-0.434 0.000 12.073
Ba Tl In
10 2 2
direct
0.044 0.627 0.331
0.157 0.843 0.750
0.253 0.415 0.998
0.373 0.956 0.169
0.415 0.253 0.498
0.585 0.747 0.502
0.627 0.044 0.831
0.747 0.585 0.002
0.843 0.157 0.250
0.956 0.373 0.669
0.000 0.000 0.000
0.000 0.000 0.500
0.494 0.506 0.750
0.506 0.494 0.250
```

# 5
The following is a theoretical powder X-ray diffraction pattern of PuTcO6. It was derived from a DFT-relaxed cell (GGA-PBE, Alexandria), using Cu Kα.
Kinematic intensities with the Lorentz-polarization factor, no thermal factor.

Main lines, low angle first (10° ≤ 2θ ≤ 90°):
- 19.5°, d = 4.551 Å, I 22.8
- 22.5°, d = 3.951 Å, I 100.0
- 22.8°, d = 3.892 Å, I 47.4
- 31.8°, d = 2.811 Å, I 14.0
- 32.2°, d = 2.779 Å, I 40.5
- 32.4°, d = 2.765 Å, I 26.9
- 45.9°, d = 1.975 Å, I 19.4
- 51.5°, d = 1.776 Å, I 10.5
- 52.0°, d = 1.758 Å, I 20.1
- 57.6°, d = 1.599 Å, I 15.3

Atomic structure:
```
PuTcO6
1.0
9.529 0.000 0.000
0.000 5.622 0.000
-3.202 0.000 4.537
Pu Tc O
2 2 12
direct
0.000 0.000 0.000
0.500 0.500 0.000
0.000 0.500 0.500
0.500 0.000 0.500
0.031 0.262 0.294
0.031 0.738 0.294
0.247 0.500 0.809
0.253 0.000 0.191
0.469 0.238 0.706
0.469 0.762 0.706
0.531 0.238 0.294
0.531 0.762 0.294
0.747 0.000 0.809
0.753 0.500 0.191
0.969 0.262 0.706
0.969 0.738 0.706
```

# 6
The following is a theoretical powder X-ray diffraction pattern of Mo2Ru2Au. It was derived from a DFT-relaxed cell (GGA-PBE, Alexandria), using Cu Kα.
Kinematic intensities with the Lorentz-polarization factor, no thermal factor.

Main lines, low angle first (10° ≤ 2θ ≤ 90°):
- 33.9°, d = 2.643 Å, I 23.7
- 35.7°, d = 2.514 Å, I 17.5
- 38.1°, d = 2.364 Å, I 100.0
- 39.7°, d = 2.270 Å, I 38.8
- 41.6°, d = 2.172 Å, I 82.5
- 50.1°, d = 1.822 Å, I 23.8
- 54.9°, d = 1.671 Å, I 14.8
- 72.5°, d = 1.304 Å, I 17.8
- 76.3°, d = 1.249 Å, I 16.4
- 78.2°, d = 1.223 Å, I 24.6

Atomic structure:
```
Mo2Ru2Au
1.0
7.475 0.000 0.000
0.000 7.475 0.000
0.000 0.000 2.858
Mo Ru Au
4 4 2
direct
0.163 0.337 0.000
0.337 0.837 0.000
0.663 0.163 0.000
0.837 0.663 0.000
0.132 0.632 0.500
0.368 0.132 0.500
0.632 0.868 0.500
0.868 0.368 0.500
0.000 0.000 0.500
0.500 0.500 0.500
```